(1)
Diffraction record for Fe2CuNiO4. The powder diffractogram is simulated, not measured: it uses a cell relaxed with GGA+U and Cu Kα, 1.54184 Å.
Lines closer than 0.1° are merged.

Crystal structure
a b c (Å): 4.3678 4.3784 8.4327
angles (deg): 90.00 90.00 90.00
Space group Immm (No. 71)
One atom of each set of equivalent atoms:
Fe (0.0000, 0.0000, 0.2498)
Cu (0.0000, 0.5000, 0.0000)
Ni (0.0000, 0.5000, 0.5000)
O (0.0000, 0.0000, 0.0000)
O (0.0000, 0.0000, 0.5000)
O (0.0000, 0.5000, 0.2537)

Principal peaks in the range 10° ≤ 2θ ≤ 90°, low angle first:
two_theta	I (rel.)	(hkl)
36.02	100.0	1 1 2
41.24	48.5	0 2 0
41.34	48.1	2 0 0
42.90	42.8	0 0 4
59.82	28.2	2 2 0
61.06	52.4	2 0 4
71.77	13.2	1 3 2
71.92	13.1	3 1 2
74.10	12.1	1 1 6
76.39	24.8	2 2 4



(2)
Diffraction record for Fe9Cu3O16. The powder diffractogram is simulated, not measured: it uses a cell relaxed with GGA+U and Cu Kα, 1.54184 Å.
Lines closer than 0.1° are merged.

Crystal structure
a b c (Å): 5.8397 5.8397 8.2721
angles (deg): 90.00 90.00 90.00
Space group P-4m2 (No. 115)
One atom of each set of equivalent atoms:
Fe (0.0000, 0.0000, 0.0000)
Fe (0.0000, 0.2498, 0.3746)
Fe (0.2523, 0.5000, 0.1239)
Cu (0.0000, 0.5000, 0.7458)
Cu (0.5000, 0.5000, 0.5000)
O (0.0000, 0.2231, 0.6106)
O (0.0000, 0.2703, 0.1322)
O (0.2253, 0.5000, 0.3587)
O (0.2769, 0.5000, 0.8878)

Principal peaks in the range 10° ≤ 2θ ≤ 90°, low angle first:
two_theta	I (rel.)	(hkl)
18.60	7.8	1 0 1
30.60	34.2	2 0 0
36.05	100.0	2 1 1
37.71	8.3	2 0 2
43.82	15.9	2 2 0
54.40	11.3	3 1 2
58.00	36.5	3 2 1
63.71	42.5	4 0 0
75.44	10.0	3 0 5
88.54	3.9	4 2 4